Entry 1:
This entry pairs a crystal structure of La8Ir3Cl4O with its calculated XRD peak list. Radiation: a wavelength of 1.5418 Å. Structure: a PBE-relaxed structure.
No peak broadening, texture or thermal motion is included.

Structural model:
```
La8Ir3Cl4O
1.0
7.074 -4.063 0.000
7.074 4.063 0.000
-4.717 0.000 7.595
La Ir Cl O
8 3 4 1
Direct
0.226 0.753 0.702
0.229 0.229 0.705
0.247 0.774 0.298
0.264 0.264 0.292
0.736 0.736 0.708
0.753 0.226 0.702
0.771 0.771 0.295
0.774 0.247 0.298
0.000 0.500 0.500
0.500 0.000 0.500
0.500 0.500 0.500
0.000 0.000 0.000
0.000 0.500 0.000
0.500 0.000 0.000
0.500 0.500 0.000
0.000 0.000 0.500
```

Main lines, sorted by position (2θ from 5° to 70°):
- 2θ = 11.7°, I 52.2
- 2θ = 29.8°, I 100.0
- 2θ = 37.6°, I 22.1
- 2θ = 40.7°, I 32.2
- 2θ = 44.4°, I 23.7
- 2θ = 44.6°, I 11.6
- 2θ = 46.1°, I 7.6
- 2θ = 51.1°, I 14.3
- 2θ = 54.5°, I 11.7
- 2θ = 67.4°, I 6.4

Entry 2:
This entry pairs a crystal structure of La8Ir3OsCl4 with its calculated XRD peak list. Radiation: a wavelength of 1.5418 Å. Structure: a PBE-relaxed structure.
No peak broadening, texture or thermal motion is included.

Structural model:
```
La8Ir3OsCl4
1.0
7.239 -4.180 0.000
7.239 4.180 0.000
-4.826 0.000 7.668
La Ir Os Cl
8 3 1 4
Direct
0.232 0.232 0.703
0.233 0.739 0.704
0.261 0.767 0.296
0.266 0.266 0.299
0.734 0.734 0.701
0.739 0.233 0.704
0.767 0.261 0.296
0.768 0.768 0.297
0.000 0.500 0.500
0.500 0.000 0.500
0.500 0.500 0.500
0.000 0.000 0.500
0.000 0.000 0.000
0.000 0.500 0.000
0.500 0.000 0.000
0.500 0.500 0.000
```

Main lines, sorted by position (2θ from 5° to 70°):
- 2θ = 11.5°, I 64.2
- 2θ = 24.9°, I 9.8
- 2θ = 29.2°, I 100.0
- 2θ = 36.9°, I 25.0
- 2θ = 40.0°, I 32.3
- 2θ = 43.3°, I 36.9
- 2θ = 45.0°, I 14.9
- 2θ = 50.4°, I 15.3
- 2θ = 53.0°, I 18.6
- 2θ = 60.4°, I 13.0

Entry 3:
This entry pairs a crystal structure of La8IrPt3Cl4 with its calculated XRD peak list. Radiation: a wavelength of 1.5418 Å. Structure: a PBE-relaxed structure.
No peak broadening, texture or thermal motion is included.

Structural model:
```
La8IrPt3Cl4
1.0
7.355 -4.248 0.000
7.355 4.248 0.000
-4.911 0.000 7.581
La Ir Pt Cl
8 1 3 4
Direct
0.233 0.233 0.708
0.233 0.742 0.708
0.258 0.767 0.292
0.264 0.264 0.293
0.736 0.736 0.707
0.742 0.233 0.708
0.767 0.258 0.292
0.767 0.767 0.292
0.000 0.000 0.500
0.000 0.500 0.500
0.500 0.000 0.500
0.500 0.500 0.500
0.000 0.000 0.000
0.000 0.500 0.000
0.500 0.000 0.000
0.500 0.500 0.000
```

Main lines, sorted by position (2θ from 5° to 70°):
- 2θ = 11.7°, I 57.1
- 2θ = 24.5°, I 10.5
- 2θ = 28.9°, I 100.0
- 2θ = 36.9°, I 22.2
- 2θ = 40.1°, I 33.3
- 2θ = 42.6°, I 37.2
- 2θ = 44.3°, I 14.1
- 2θ = 50.6°, I 13.5
- 2θ = 52.3°, I 19.0
- 2θ = 69.6°, I 15.9